[1]
Simulated powder X-ray diffraction pattern
Compound: CeU2Sn9
Radiation: Cu Kα
Structure: a crystal structure in Alexandria, relaxed with PBE

Structure:
Cell lengths 4.6645, 4.6645, 13.9639 Å; angles 90.00, 90.00, 90.00 degrees
Sites, in units of the cell vectors:
Ce 0.0000 0.0000 0.0000
U 0.0000 0.0000 0.3360
U 0.0000 0.0000 0.6640
Sn 0.0000 0.5000 0.1702
Sn 0.0000 0.5000 0.5000
Sn 0.0000 0.5000 0.8298
Sn 0.5000 0.0000 0.1702
Sn 0.5000 0.0000 0.5000
Sn 0.5000 0.0000 0.8298
Sn 0.5000 0.5000 0.0000
Sn 0.5000 0.5000 0.3344
Sn 0.5000 0.5000 0.6656

Main lines, by intensity (2θ from 15° to 90°):
33.29 deg, rel. 100.0
38.63 deg, rel. 50.4
55.78 deg, rel. 35.5
66.50 deg, rel. 28.6
66.61 deg, rel. 14.0
69.91 deg, rel. 12.4
19.04 deg, rel. 5.3
27.05 deg, rel. 4.6
82.77 deg, rel. 4.1
43.41 deg, rel. 2.6
47.80 deg, rel. 2.0
82.98 deg, rel. 2.0

***

[2]
Simulated powder X-ray diffraction pattern
Compound: Mg5Sc6Pb
Radiation: Cu Kα
Structure: a crystal structure in Alexandria, relaxed with PBE

Structure:
Cell lengths 8.0640, 8.0640, 7.1241 Å; angles 90.00, 90.00, 143.25 degrees
Sites, in units of the cell vectors:
Mg 0.0000 0.0000 0.0000
Mg 0.3284 0.6716 0.5000
Mg 0.3349 0.6651 0.0000
Mg 0.6651 0.3349 0.0000
Mg 0.6716 0.3284 0.5000
Sc 0.1689 0.8311 0.2444
Sc 0.1689 0.8311 0.7556
Sc 0.5000 0.5000 0.2453
Sc 0.5000 0.5000 0.7547
Sc 0.8311 0.1689 0.2444
Sc 0.8311 0.1689 0.7556
Pb 0.0000 0.0000 0.5000

Main lines, by intensity (2θ from 15° to 90°):
35.45 deg, rel. 100.0
22.25 deg, rel. 28.3
35.18 deg, rel. 25.5
35.31 deg, rel. 25.4
17.00 deg, rel. 24.6
18.39 deg, rel. 21.1
27.76 deg, rel. 18.2
50.70 deg, rel. 17.2
63.46 deg, rel. 17.0
63.30 deg, rel. 17.0
63.77 deg, rel. 16.6
31.21 deg, rel. 12.8

***

[3]
Simulated powder X-ray diffraction pattern
Compound: GaNi6Pt5
Radiation: Cu Kα
Structure: a crystal structure in Alexandria, relaxed with PBE

Structure:
Cell lengths 7.0400, 7.0400, 7.0400 Å; angles 148.65, 116.96, 72.10 degrees
Sites, in units of the cell vectors:
Ga 0.0000 0.0000 0.0000
Ni 0.0832 0.8332 0.2500
Ni 0.2521 0.5000 0.7521
Ni 0.4168 0.1668 0.2500
Ni 0.5832 0.8332 0.7500
Ni 0.7479 0.5000 0.2479
Ni 0.9168 0.1668 0.7500
Pt 0.1595 0.6595 0.5000
Pt 0.3323 0.3323 0.0000
Pt 0.5000 0.0000 0.5000
Pt 0.6677 0.6677 0.0000
Pt 0.8405 0.3405 0.5000

Main lines, by intensity (2θ from 15° to 90°):
41.62 deg, rel. 100.0
24.18 deg, rel. 20.4
33.35 deg, rel. 18.2
47.82 deg, rel. 16.8
47.95 deg, rel. 16.3
49.53 deg, rel. 15.1
84.81 deg, rel. 12.7
85.00 deg, rel. 12.1
87.39 deg, rel. 11.9
70.05 deg, rel. 10.3
71.31 deg, rel. 10.0
71.41 deg, rel. 9.8

***

[4]
Simulated powder X-ray diffraction pattern
Compound: CaDyPa2P4
Radiation: Cu Kα
Structure: a crystal structure in Alexandria, relaxed with PBE

Structure:
Cell lengths 5.6462, 5.6462, 11.3685 Å; angles 90.00, 90.00, 90.00 degrees
Sites, in units of the cell vectors:
Ca 0.0000 0.0000 0.0000
Ca 0.5000 0.5000 0.5000
Dy 0.0000 0.5000 0.7500
Dy 0.5000 0.0000 0.2500
Pa 0.0000 0.0000 0.5000
Pa 0.0000 0.5000 0.2500
Pa 0.5000 0.0000 0.7500
Pa 0.5000 0.5000 0.0000
P 0.0000 0.0000 0.2559
P 0.0000 0.0000 0.7441
P 0.0000 0.5000 0.0034
P 0.0000 0.5000 0.4966
P 0.5000 0.0000 0.5034
P 0.5000 0.0000 0.9966
P 0.5000 0.5000 0.2441
P 0.5000 0.5000 0.7559

Main lines, by intensity (2θ from 15° to 90°):
27.30 deg, rel. 100.0
31.69 deg, rel. 74.9
45.27 deg, rel. 55.5
17.54 deg, rel. 38.3
31.48 deg, rel. 38.1
53.82 deg, rel. 32.9
56.32 deg, rel. 29.1
45.43 deg, rel. 27.5
83.85 deg, rel. 19.2
53.53 deg, rel. 16.8
72.78 deg, rel. 13.6
36.45 deg, rel. 13.4

***

[5]
Simulated powder X-ray diffraction pattern
Compound: Si5O8
Radiation: Cu Kα
Structure: a crystal structure in Alexandria, relaxed with PBE

Structure:
Cell lengths 6.6120, 6.6163, 12.8547 Å; angles 97.04, 104.59, 104.03 degrees
Sites, in units of the cell vectors:
Si 0.0000 0.0000 0.0000
Si 0.0002 0.3636 0.3310
Si 0.0647 0.7530 0.6864
Si 0.1839 0.0730 0.8113
Si 0.2530 0.5408 0.7844
Si 0.2959 0.2015 0.4684
Si 0.3059 0.9045 0.0974
Si 0.3759 0.7885 0.3342
Si 0.5066 0.9055 0.9728
Si 0.7052 0.5720 0.4567
O 0.0107 0.0773 0.8845
O 0.0110 0.5877 0.7729
O 0.0572 0.7687 0.0110
O 0.1686 0.5883 0.3241
O 0.2254 0.1301 0.1033
O 0.2362 0.2909 0.7634
O 0.2851 0.6669 0.6813
O 0.3571 0.0014 0.4041
O 0.3811 0.8299 0.2120
O 0.4150 0.0587 0.8919
O 0.4414 0.6621 0.8999
O 0.5119 0.4059 0.4857
O 0.6027 0.7347 0.3891
O 0.7707 0.0044 0.0214
O 0.8266 0.4436 0.3878
O 0.8828 0.7166 0.5703

Main lines, by intensity (2θ from 15° to 90°):
17.07 deg, rel. 100.0
21.84 deg, rel. 99.2
17.24 deg, rel. 87.6
30.93 deg, rel. 63.3
21.49 deg, rel. 63.1
19.14 deg, rel. 39.4
22.42 deg, rel. 38.5
29.04 deg, rel. 38.0
22.19 deg, rel. 36.3
30.69 deg, rel. 32.7
23.41 deg, rel. 23.2
28.36 deg, rel. 21.6

***

[6]
Simulated powder X-ray diffraction pattern
Compound: Pr2Er3ThTe6
Radiation: Cu Kα
Structure: a crystal structure in Alexandria, relaxed with PBE

Structure:
Cell lengths 10.0488, 10.0488, 9.0615 Å; angles 107.00, 107.00, 24.76 degrees
Sites, in units of the cell vectors:
Pr 0.1604 0.1604 0.3186
Pr 0.8396 0.8396 0.6814
Er 0.1678 0.1678 0.8295
Er 0.5000 0.5000 0.5000
Er 0.8322 0.8322 0.1705
Th 0.5000 0.5000 0.0000
Te 0.0070 0.0070 0.7418
Te 0.3301 0.3301 0.9338
Te 0.3350 0.3350 0.4121
Te 0.6650 0.6650 0.5879
Te 0.6699 0.6699 0.0662
Te 0.9930 0.9930 0.2582

Main lines, by intensity (2θ from 15° to 90°):
28.62 deg, rel. 100.0
39.86 deg, rel. 39.7
41.95 deg, rel. 35.6
51.56 deg, rel. 19.2
68.57 deg, rel. 16.0
65.57 deg, rel. 11.5
59.27 deg, rel. 8.3
75.18 deg, rel. 8.2
47.98 deg, rel. 7.4
70.93 deg, rel. 6.3
76.62 deg, rel. 5.8
65.66 deg, rel. 5.6